# 1
Np4RhS6: theoretical X-ray diffraction stick pattern (CuKα), based on a structure optimized by DFT (GGA-PBE).
Kinematic intensities with the Lorentz-polarization factor, no thermal factor.

Most intense lines, 10° ≤ 2θ ≤ 90°, low angle first:
| index | 2θ (°) | d [Å] | I/Imax |
| --- | --- | --- | --- |
| 0 0 2 | 23.14 | 3.844 | 31 |
| 2 1 0 | 27.03 | 3.299 | 57 |
| 2 1 2 | 35.87 | 2.503 | 100 |
| 3 1 0 | 38.60 | 2.333 | 34 |
| 2 1 4 | 55.30 | 1.661 | 24 |
| 3 3 4 | 73.40 | 1.290 | 24 |

Crystal structure
```
data_Np4RhS6
_symmetry_space_group_name_H-M 'P 4/m n c'
_symmetry_Int_Tables_number 128
_symmetry_space_group_name_Hall '-P 4 2n'
_cell_length_a 7.376
_cell_length_b 7.376
_cell_length_c 7.688
_cell_angle_alpha 90.00
_cell_angle_beta 90.00
_cell_angle_gamma 90.00
loop_
_atom_site_label
_atom_site_fract_x
_atom_site_fract_y
_atom_site_fract_z
Np1 0.161 0.339 0.250
Rh1 0.000 0.000 0.000
S1 0.000 0.000 0.304
S2 0.130 0.659 0.000
```

***

# 2
Ca3Ta: theoretical X-ray diffraction stick pattern (CuKα), based on a structure optimized by DFT (GGA-PBE).
Kinematic intensities with the Lorentz-polarization factor, no thermal factor.

Most intense lines, 10° ≤ 2θ ≤ 90°, low angle first:
| index | 2θ (°) | d [Å] | I/Imax |
| --- | --- | --- | --- |
| 0 0 2 | 14.95 | 5.928 | 33 |
| 1 0 0 | 29.99 | 2.980 | 35 |
| 1 0 1 | 30.94 | 2.890 | 28 |
| 1 0 2 | 33.66 | 2.663 | 100 |
| 1 0 3 | 37.81 | 2.379 | 29 |
| 1 0 4 | 43.04 | 2.101 | 28 |

Crystal structure
```
data_Ca3Ta
_symmetry_space_group_name_H-M 'P -6 m 2'
_symmetry_Int_Tables_number 187
_symmetry_space_group_name_Hall 'P -6 2'
_cell_length_a 3.4410
_cell_length_b 3.4410
_cell_length_c 11.8554
_cell_angle_alpha 90.00
_cell_angle_beta 90.00
_cell_angle_gamma 120.00
loop_
_atom_site_label
_atom_site_fract_x
_atom_site_fract_y
_atom_site_fract_z
Ca1 0.0000 0.0000 0.0000
Ca2 0.3333 0.6667 0.2847
Ta1 0.0000 0.0000 0.5000
```

***

# 3
Ca2Zn10Cd: theoretical X-ray diffraction stick pattern (CuKα), based on a structure optimized by DFT (GGA-PBE).
Kinematic intensities with the Lorentz-polarization factor, no thermal factor.

Most intense lines, 10° ≤ 2θ ≤ 90°, low angle first:
| index | 2θ (°) | d [Å] | I/Imax |
| --- | --- | --- | --- |
| 0 0 1 | 16.10 | 5.507 | 100 |
| 1 2 2 | 37.44 | 2.402 | 42 |
| 3 3 0 | 40.61 | 2.221 | 92 |
| 0 6 0 | 43.10 | 2.099 | 24 |
| 3 3 1 | 43.94 | 2.061 | 42 |
| 0 6 1 | 46.29 | 1.961 | 24 |

Crystal structure
```
data_Ca2Zn10Cd
_symmetry_space_group_name_H-M 'P b a m'
_symmetry_Int_Tables_number 55
_cell_length_a 7.857
_cell_length_b 12.593
_cell_length_c 5.507
_cell_angle_alpha 90.00
_cell_angle_beta 90.00
_cell_angle_gamma 90.00
loop_
_symmetry_equiv_pos_as_xyz
'x,y,z'
'-x,-y,-z'
'-x,-y,z'
'x,y,-z'
'x+1/2,-y+1/2,-z'
'-x+1/2,y+1/2,z'
'-x+1/2,y+1/2,-z'
'x+1/2,-y+1/2,z'
loop_
_atom_site_label
_atom_site_fract_x
_atom_site_fract_y
_atom_site_fract_z
Ca1 0.229 0.091 0.000
Zn1 0.013 0.671 0.500
Zn2 0.161 0.491 0.500
Zn3 0.173 0.180 0.500
Zn4 0.177 0.833 0.231
Cd1 0.000 0.000 0.500
```

***

# 4
Ba3As4P2: theoretical X-ray diffraction stick pattern (CuKα), based on a structure optimized by DFT (GGA-PBE).
Kinematic intensities with the Lorentz-polarization factor, no thermal factor.

Most intense lines, 10° ≤ 2θ ≤ 90°, low angle first:
| index | 2θ (°) | d [Å] | I/Imax |
| --- | --- | --- | --- |
| 3 1 -1 | 24.51 | 3.632 | 96 |
| 0 4 0 | 28.61 | 3.120 | 100 |
| 1 1 2 | 30.49 | 2.932 | 68 |
| 3 3 -1 | 31.93 | 2.803 | 99 |
| 4 2 1 | 33.51 | 2.674 | 66 |
| 1 5 2 | 47.26 | 1.923 | 57 |

Crystal structure
```
data_Ba3As4P2
_symmetry_space_group_name_H-M 'C 1 2/c 1'
_symmetry_Int_Tables_number 15
_cell_length_a 13.820
_cell_length_b 12.478
_cell_length_c 6.259
_cell_angle_alpha 90.00
_cell_angle_beta 92.82
_cell_angle_gamma 90.00
loop_
_symmetry_equiv_pos_as_xyz
'x,y,z'
'-x,-y,-z'
'-x,y,-z+1/2'
'x,-y,z+1/2'
'x+1/2,y+1/2,z'
'-x+1/2,-y+1/2,-z'
'-x+1/2,y+1/2,-z+1/2'
'x+1/2,-y+1/2,z+1/2'
loop_
_atom_site_label
_atom_site_fract_x
_atom_site_fract_y
_atom_site_fract_z
Ba1 0.000 0.101 0.250
Ba2 0.163 0.380 0.890
As1 0.057 0.362 0.407
As2 0.154 0.105 0.756
P1 0.182 0.207 0.462
```

***

# 5
TaSiOs2: theoretical X-ray diffraction stick pattern (CuKα), based on a structure optimized by DFT (GGA-PBE).
Kinematic intensities with the Lorentz-polarization factor, no thermal factor.

Most intense lines, 10° ≤ 2θ ≤ 90°, low angle first:
| index | 2θ (°) | d [Å] | I/Imax |
| --- | --- | --- | --- |
| 1 0 1 | 33.00 | 2.715 | 29 |
| 1 0 2 | 41.01 | 2.201 | 100 |
| 1 1 0 | 42.82 | 2.112 | 49 |
| 2 0 0 | 62.16 | 1.493 | 16 |
| 1 1 4 | 73.45 | 1.289 | 13 |
| 2 1 2 | 77.20 | 1.236 | 32 |

Crystal structure
```
data_TaSiOs2
_symmetry_space_group_name_H-M 'P 4/m m m'
_symmetry_Int_Tables_number 123
_symmetry_space_group_name_Hall '-P 4 2'
_cell_length_a 2.987
_cell_length_b 2.987
_cell_length_c 6.511
_cell_angle_alpha 90.00
_cell_angle_beta 90.00
_cell_angle_gamma 90.00
loop_
_atom_site_label
_atom_site_fract_x
_atom_site_fract_y
_atom_site_fract_z
Ta1 0.000 0.000 0.000
Si1 0.000 0.000 0.500
Os1 0.500 0.500 0.281
```

***

# 6
NpZnSb2: theoretical X-ray diffraction stick pattern (CuKα), based on a structure optimized by DFT (GGA-PBE).
Kinematic intensities with the Lorentz-polarization factor, no thermal factor.

Most intense lines, 10° ≤ 2θ ≤ 90°, low angle first:
| index | 2θ (°) | d [Å] | I/Imax |
| --- | --- | --- | --- |
| 1 0 0 | 18.90 | 4.695 | 18 |
| 1 0 1 | 28.46 | 3.136 | 14 |
| 1 1 1 | 34.39 | 2.608 | 100 |
| 2 0 0 | 38.34 | 2.348 | 37 |
| 2 0 2 | 58.90 | 1.568 | 21 |
| 3 1 1 | 66.80 | 1.400 | 29 |

Crystal structure
```
data_NpZnSb2
_symmetry_space_group_name_H-M 'P 4/m m m'
_symmetry_Int_Tables_number 123
_symmetry_space_group_name_Hall '-P 4 2'
_cell_length_a 4.695
_cell_length_b 4.695
_cell_length_c 4.214
_cell_angle_alpha 90.00
_cell_angle_beta 90.00
_cell_angle_gamma 90.00
loop_
_atom_site_label
_atom_site_fract_x
_atom_site_fract_y
_atom_site_fract_z
Np1 0.000 0.000 0.000
Zn1 0.500 0.500 0.000
Sb1 0.000 0.500 0.500
```